Structure and calculated powder diffraction line list of Pr2Y2CBr2Cl3 (a crystal structure in OQMD, relaxed with GGA-PBE; λ = 1.5418 Å (Cu Kα)).
Peak positions follow from Bragg's law for the DFT cell and can differ from measured ones.

Peak list (6 most intense, 2θ from 5° to 70°, low angle first)
2θ 10.13, rel. 39; 2θ 11.08, rel. 75; 2θ 30.71, rel. 44; 2θ 31.75, rel. 100; 2θ 33.69, rel. 35; 2θ 44.76, rel. 55

Cell and atoms:
a b c (Å): 9.182 9.182 8.206
angles (deg): 103.03 103.03 24.38
Fractional coordinates of all 10 atoms:
Pr 0.000 0.000 0.216
Pr 0.000 0.000 0.784
Y 0.362 0.362 0.926
Y 0.638 0.638 0.074
C 0.500 0.500 0.000
Br 0.174 0.174 0.838
Br 0.826 0.826 0.162
Cl 0.165 0.165 0.315
Cl 0.500 0.500 0.500
Cl 0.835 0.835 0.685

Structure and calculated powder diffraction line list of DySCl3 (a crystal structure in OQMD, relaxed with GGA-PBE; λ = 1.5418 Å (Cu Kα)).
Peak positions follow from Bragg's law for the DFT cell and can differ from measured ones.

Peak list (6 most intense, 2θ from 5° to 70°, low angle first)
2θ 9.97, rel. 100; 2θ 16.92, rel. 23; 2θ 17.96, rel. 27; 2θ 18.62, rel. 21; 2θ 27.20, rel. 20; 2θ 31.93, rel. 29

Cell and atoms:
a b c (Å): 6.908 6.908 8.936
angles (deg): 93.46 93.46 118.72
Fractional coordinates of all 10 atoms:
Dy 0.170 0.830 0.000
Dy 0.830 0.170 0.000
S 0.385 0.385 0.546
S 0.615 0.615 0.454
Cl 0.096 0.096 0.832
Cl 0.144 0.521 0.171
Cl 0.479 0.856 0.829
Cl 0.521 0.144 0.171
Cl 0.856 0.479 0.829
Cl 0.904 0.904 0.168

Structure and calculated powder diffraction line list of Mg2ZnCdGe2 (a crystal structure in OQMD, relaxed with GGA-PBE; λ = 1.5418 Å (Cu Kα)).
Peak positions follow from Bragg's law for the DFT cell and can differ from measured ones.

Peak list (6 most intense, 2θ from 5° to 70°, low angle first)
2θ 24.37, rel. 100; 2θ 40.20, rel. 88; 2θ 40.59, rel. 43; 2θ 47.23, rel. 16; 2θ 47.91, rel. 31; 2θ 58.75, rel. 14

Cell and atoms:
a b c (Å): 7.795 4.443 14.804
angles (deg): 90.00 99.13 90.00
Fractional coordinates of all 24 atoms:
Mg 0.000 0.000 0.000
Mg 0.009 0.500 0.490
Mg 0.233 0.000 0.734
Mg 0.245 0.500 0.238
Mg 0.478 0.000 0.479
Mg 0.499 0.500 0.997
Mg 0.742 0.000 0.231
Mg 0.760 0.500 0.736
Zn 0.062 0.500 0.673
Zn 0.063 0.000 0.183
Zn 0.305 0.500 0.421
Zn 0.556 0.500 0.181
Cd 0.306 0.000 0.925
Cd 0.555 0.000 0.672
Cd 0.807 0.000 0.424
Cd 0.811 0.500 0.927
Ge 0.119 0.500 0.855
Ge 0.129 0.000 0.361
Ge 0.357 0.500 0.605
Ge 0.372 0.000 0.120
Ge 0.605 0.500 0.359
Ge 0.620 0.000 0.863
Ge 0.875 0.500 0.122
Ge 0.884 0.000 0.616

Structure and calculated powder diffraction line list of LaDyGa2Pd4 (a crystal structure in OQMD, relaxed with GGA-PBE; λ = 1.5418 Å (Cu Kα)).
Peak positions follow from Bragg's law for the DFT cell and can differ from measured ones.

Peak list (6 most intense, 2θ from 5° to 70°, low angle first)
2θ 23.08, rel. 22; 2θ 30.13, rel. 13; 2θ 37.24, rel. 100; 2θ 40.55, rel. 78; 2θ 56.23, rel. 30; 2θ 64.87, rel. 12

Cell and atoms:
a b c (Å): 4.449 4.449 9.295
angles (deg): 90.00 90.00 120.00
Fractional coordinates of all 8 atoms:
La 0.000 0.000 0.000
Dy 0.667 0.333 0.500
Ga 0.333 0.667 0.259
Ga 0.333 0.667 0.741
Pd 0.000 0.000 0.336
Pd 0.000 0.000 0.664
Pd 0.667 0.333 0.184
Pd 0.667 0.333 0.816

Structure and calculated powder diffraction line list of PuTlAgSeS2 (a crystal structure in OQMD, relaxed with GGA-PBE; λ = 1.5418 Å (Cu Kα)).
Peak positions follow from Bragg's law for the DFT cell and can differ from measured ones.

Peak list (6 most intense, 2θ from 5° to 70°, low angle first)
2θ 12.44, rel. 62; 2θ 23.66, rel. 73; 2θ 25.04, rel. 50; 2θ 27.58, rel. 52; 2θ 31.35, rel. 100; 2θ 34.68, rel. 85

Cell and atoms:
a b c (Å): 8.028 4.082 10.118
angles (deg): 90.00 107.05 90.00
Fractional coordinates of all 12 atoms:
Pu 0.186 0.250 0.145
Pu 0.814 0.750 0.855
Tl 0.249 0.750 0.710
Tl 0.751 0.250 0.290
Ag 0.433 0.750 0.397
Ag 0.567 0.250 0.603
Se 0.228 0.250 0.435
Se 0.772 0.750 0.565
S 0.045 0.250 0.869
S 0.405 0.750 0.142
S 0.595 0.250 0.858
S 0.955 0.750 0.131

Structure and calculated powder diffraction line list of CsNdCu3S4 (a crystal structure in OQMD, relaxed with GGA-PBE; λ = 1.5418 Å (Cu Kα)).
Peak positions follow from Bragg's law for the DFT cell and can differ from measured ones.

Peak list (6 most intense, 2θ from 5° to 70°, low angle first)
2θ 19.52, rel. 73; 2θ 23.97, rel. 39; 2θ 27.74, rel. 44; 2θ 34.15, rel. 35; 2θ 39.64, rel. 100; 2θ 53.30, rel. 21

Cell and atoms:
a b c (Å): 6.431 6.431 6.431
angles (deg): 90.00 90.00 90.00
Fractional coordinates of all 9 atoms:
Cs 0.000 0.000 0.000
Nd 0.500 0.500 0.500
Cu 0.000 0.500 0.500
Cu 0.500 0.000 0.500
Cu 0.500 0.500 0.000
S 0.271 0.271 0.271
S 0.271 0.729 0.729
S 0.729 0.271 0.729
S 0.729 0.729 0.271

Structure and calculated powder diffraction line list of Zr3Te (a crystal structure in OQMD, relaxed with GGA-PBE; λ = 1.5418 Å (Cu Kα)).
Peak positions follow from Bragg's law for the DFT cell and can differ from measured ones.

Peak list (6 most intense, 2θ from 5° to 70°, low angle first)
2θ 32.45, rel. 76; 2θ 33.38, rel. 45; 2θ 33.51, rel. 52; 2θ 35.24, rel. 39; 2θ 36.17, rel. 100; 2θ 38.85, rel. 57

Cell and atoms:
a b c (Å): 8.538 8.538 8.538
angles (deg): 96.33 96.33 141.22
Fractional coordinates of all 16 atoms:
Zr 0.044 0.358 0.479
Zr 0.087 0.209 0.839
Zr 0.203 0.672 0.904
Zr 0.328 0.232 0.531
Zr 0.370 0.248 0.161
Zr 0.436 0.956 0.315
Zr 0.642 0.121 0.685
Zr 0.701 0.797 0.469
Zr 0.752 0.913 0.123
Zr 0.768 0.299 0.096
Zr 0.791 0.630 0.877
Zr 0.879 0.564 0.521
Te 0.241 0.484 0.180
Te 0.304 0.061 0.820
Te 0.516 0.696 0.757
Te 0.939 0.759 0.243

Structure and calculated powder diffraction line list of Ni (a crystal structure in OQMD, relaxed with GGA-PBE; λ = 1.5418 Å (Cu Kα)).
Peak positions follow from Bragg's law for the DFT cell and can differ from measured ones.

Peak list (6 most intense, 2θ from 5° to 70°, low angle first)
2θ 5.68, rel. 90; 2θ 8.52, rel. 36; 2θ 44.85, rel. 100; 2θ 45.93, rel. 40; 2θ 51.90, rel. 59; 2θ 53.75, rel. 32

Cell and atoms:
a b c (Å): 2.467 2.467 31.133
angles (deg): 90.00 90.00 120.00
Fractional coordinates of all 9 atoms:
Ni 0.000 0.000 0.000
Ni 0.000 0.000 0.195
Ni 0.000 0.000 0.805
Ni 0.333 0.667 0.130
Ni 0.333 0.667 0.740
Ni 0.333 0.667 0.935
Ni 0.667 0.333 0.065
Ni 0.667 0.333 0.260
Ni 0.667 0.333 0.870

Structure and calculated powder diffraction line list of Lu4NiSnC2 (a crystal structure in OQMD, relaxed with GGA-PBE; λ = 1.5418 Å (Cu Kα)).
Peak positions follow from Bragg's law for the DFT cell and can differ from measured ones.

Peak list (6 most intense, 2θ from 5° to 70°, low angle first)
2θ 29.21, rel. 29; 2θ 31.86, rel. 12; 2θ 34.92, rel. 100; 2θ 51.79, rel. 27; 2θ 60.22, rel. 17; 2θ 63.99, rel. 17

Cell and atoms:
a b c (Å): 3.531 3.531 14.220
angles (deg): 90.00 90.00 120.00
Fractional coordinates of all 8 atoms:
Lu 0.000 0.000 0.134
Lu 0.000 0.000 0.866
Lu 0.333 0.667 0.317
Lu 0.333 0.667 0.683
Ni 0.333 0.667 0.000
Sn 0.000 0.000 0.500
C 0.667 0.333 0.229
C 0.667 0.333 0.771

Structure and calculated powder diffraction line list of Li3CdO4 (a crystal structure in OQMD, relaxed with GGA-PBE; λ = 1.5418 Å (Cu Kα)).
Peak positions follow from Bragg's law for the DFT cell and can differ from measured ones.

Peak list (6 most intense, 2θ from 5° to 70°, low angle first)
2θ 7.35, rel. 100; 2θ 17.96, rel. 25; 2θ 18.44, rel. 91; 2θ 19.88, rel. 27; 2θ 34.95, rel. 37; 2θ 42.73, rel. 100

Cell and atoms:
a b c (Å): 5.108 12.021 5.245
angles (deg): 90.00 109.63 90.00
Fractional coordinates of all 32 atoms:
Li 0.000 0.000 0.000
Li 0.000 0.110 0.500
Li 0.000 0.230 0.000
Li 0.000 0.375 0.500
Li 0.000 0.515 0.000
Li 0.000 0.640 0.500
Li 0.000 0.767 0.000
Li 0.000 0.886 0.500
Li 0.500 0.000 0.500
Li 0.500 0.112 0.000
Li 0.500 0.639 0.000
Li 0.500 0.885 0.000
Cd 0.500 0.236 0.500
Cd 0.500 0.375 0.000
Cd 0.500 0.509 0.500
Cd 0.500 0.764 0.500
O 0.228 0.368 0.257
O 0.235 0.640 0.240
O 0.237 0.505 0.757
O 0.242 0.243 0.754
O 0.243 0.113 0.250
O 0.244 0.000 0.757
O 0.247 0.886 0.248
O 0.253 0.760 0.746
O 0.747 0.760 0.254
O 0.753 0.886 0.752
O 0.756 0.000 0.243
O 0.757 0.113 0.750
O 0.758 0.243 0.246
O 0.763 0.505 0.243
O 0.765 0.640 0.760
O 0.772 0.368 0.743

Structure and calculated powder diffraction line list of BaZn2As2O8 (a crystal structure in OQMD, relaxed with GGA-PBE; λ = 1.5418 Å (Cu Kα)).
Peak positions follow from Bragg's law for the DFT cell and can differ from measured ones.

Peak list (6 most intense, 2θ from 5° to 70°, low angle first)
2θ 21.83, rel. 29; 2θ 28.27, rel. 100; 2θ 34.28, rel. 45; 2θ 35.71, rel. 81; 2θ 46.16, rel. 28; 2θ 60.94, rel. 37

Cell and atoms:
a b c (Å): 8.169 8.169 8.169
angles (deg): 35.85 35.85 35.85
Fractional coordinates of all 13 atoms:
Ba 0.000 0.000 0.000
Zn 0.172 0.172 0.172
Zn 0.828 0.828 0.828
As 0.422 0.422 0.422
As 0.578 0.578 0.578
O 0.126 0.430 0.782
O 0.218 0.874 0.570
O 0.349 0.349 0.349
O 0.430 0.782 0.126
O 0.570 0.218 0.874
O 0.651 0.651 0.651
O 0.782 0.126 0.430
O 0.874 0.570 0.218

Structure and calculated powder diffraction line list of SrAg2Pt3 (a crystal structure in OQMD, relaxed with GGA-PBE; λ = 1.5418 Å (Cu Kα)).
Peak positions follow from Bragg's law for the DFT cell and can differ from measured ones.

Peak list (6 most intense, 2θ from 5° to 70°, low angle first)
2θ 18.61, rel. 54; 2θ 37.73, rel. 60; 2θ 38.16, rel. 97; 2θ 39.44, rel. 46; 2θ 42.78, rel. 100; 2θ 55.72, rel. 40

Cell and atoms:
a b c (Å): 5.506 5.506 4.569
angles (deg): 90.00 90.00 120.00
Fractional coordinates of all 6 atoms:
Sr 0.000 0.000 0.000
Ag 0.333 0.667 0.000
Ag 0.667 0.333 0.000
Pt 0.000 0.500 0.500
Pt 0.500 0.000 0.500
Pt 0.500 0.500 0.500

Structure and calculated powder diffraction line list of Sr2Zn3As2O2 (a crystal structure in OQMD, relaxed with GGA-PBE; λ = 1.5418 Å (Cu Kα)).
Peak positions follow from Bragg's law for the DFT cell and can differ from measured ones.

Peak list (6 most intense, 2θ from 5° to 70°, low angle first)
2θ 30.67, rel. 22; 2θ 32.12, rel. 100; 2θ 36.20, rel. 41; 2θ 39.91, rel. 34; 2θ 43.92, rel. 52; 2θ 55.44, rel. 30

Cell and atoms:
a b c (Å): 9.891 9.891 9.891
angles (deg): 155.94 155.94 34.29
Fractional coordinates of all 9 atoms:
Sr 0.086 0.086 0.000
Sr 0.914 0.914 0.000
Zn 0.250 0.750 0.500
Zn 0.500 0.500 0.000
Zn 0.750 0.250 0.500
As 0.332 0.332 0.000
As 0.668 0.668 0.000
O 0.000 0.500 0.500
O 0.500 0.000 0.500